PuTlGeS4: theoretical PXRD pattern (Cu Kα), based on a GGA-PBE-relaxed structure.
Peak positions follow from Bragg's law for the DFT cell and can differ from measured ones.

Most intense lines, 2θ = 10–80°, by intensity:
| two_theta | I_rel | (hkl) |
| --- | --- | --- |
| 19.43 | 100 | 1 1 0 |
| 26.95 | 58 | 0 2 0 |
| 31.86 | 51 | 1 1 2 |
| 33.00 | 49 | 2 1 -2 |
| 25.13 | 47 | 0 1 2 |
| 39.44 | 45 | 2 2 0 |
| 25.61 | 40 | 1 1 -2 |
| 28.25 | 30 | 2 0 0 |
| 41.20 | 28 | 1 0 -4 |
| 34.53 | 25 | 0 2 2 |

Structural model:
abc: 6.608 6.616 8.774
angles: 90.00 107.00 90.00
Fractional coordinates of all 14 atoms:
Pu 0.231 0.250 0.056
Pu 0.769 0.750 0.944
Tl 0.261 0.250 0.567
Tl 0.739 0.750 0.433
Ge 0.225 0.750 0.824
Ge 0.775 0.250 0.176
S 0.001 0.509 0.211
S 0.001 0.991 0.211
S 0.424 0.750 0.661
S 0.427 0.750 0.077
S 0.573 0.250 0.923
S 0.576 0.250 0.339
S 0.999 0.009 0.789
S 0.999 0.491 0.789